The following is a computed XRD peak list of SrLiCa2Ag4. It was derived from a GGA-PBE-relaxed structure, using Cu Kα.
Kinematic intensities with the Lorentz-polarization factor, no thermal factor.

Largest 10 diffraction maxima, sorted by position, 2θ = 10–80°:
2θ/deg	d [Å]	I_rel
24.0	3.702	42.1
26.1	3.412	14.9
31.0	2.881	13.8
33.8	2.653	80.7
34.7	2.584	100.0
49.2	1.851	26.6
59.9	1.545	9.8
61.6	1.505	26.1
62.2	1.492	16.9
73.3	1.292	10.3

Atomic structure:
```
SrLiCa2Ag4
1.0
2.5845 1.4921 8.7827
-2.5845 1.4921 8.7827
0.0000 -2.9843 8.7827
Sr Li Ca Ag
1 1 2 4
direct
0.0000 0.0000 0.0000 Sr
0.5000 0.5000 0.5000 Li
0.2409 0.2409 0.2409 Ca
0.7591 0.7591 0.7591 Ca
0.1252 0.1252 0.1252 Ag
0.3919 0.3919 0.3919 Ag
0.6081 0.6081 0.6081 Ag
0.8748 0.8748 0.8748 Ag
```


The following is a computed XRD peak list of Pm2Nd3Sc. It was derived from a GGA-PBE-relaxed structure, using Cu Kα.
Kinematic intensities with the Lorentz-polarization factor, no thermal factor.

Largest 10 diffraction maxima, sorted by position, 2θ = 10–80°:
2θ/deg	d [Å]	I_rel
30.4	2.940	100.0
35.3	2.546	50.4
50.7	1.801	23.6
50.8	1.798	11.9
60.3	1.536	27.9
60.4	1.534	13.9
63.2	1.471	6.0
63.3	1.469	3.0
63.4	1.467	3.0
74.5	1.273	5.5

Atomic structure:
```
Pm2Nd3Sc
1.0
6.2280 0.0000 0.0000
-2.0580 7.7827 0.0000
-0.0193 -3.3395 8.1701
Pm Nd Sc
4 6 2
direct
0.0500 0.3834 0.2972 Pm
0.2955 0.6212 0.0396 Pm
0.7045 0.3788 0.9604 Pm
0.9500 0.6166 0.7028 Pm
0.1261 0.1261 0.8728 Nd
0.2077 0.8752 0.4577 Nd
0.4608 0.1375 0.2159 Nd
0.5392 0.8625 0.7841 Nd
0.7923 0.1248 0.5423 Nd
0.8739 0.8739 0.1272 Nd
0.3767 0.3771 0.6222 Sc
0.6233 0.6229 0.3778 Sc
```


The following is a computed XRD peak list of Cs6Rb8As. It was derived from a GGA-PBE-relaxed structure, using Cu Kα.
Kinematic intensities with the Lorentz-polarization factor, no thermal factor.

Largest 10 diffraction maxima, sorted by position, 2θ = 10–80°:
2θ/deg	d [Å]	I_rel
20.9	4.257	34.4
21.0	4.231	100.0
24.3	3.670	86.5
34.5	2.601	33.9
34.6	2.589	32.1
40.7	2.219	17.1
40.8	2.211	47.8
42.7	2.115	17.0
55.9	1.644	15.7
56.2	1.638	14.1

Atomic structure:
```
Cs6Rb8As
1.0
6.8494 3.9545 8.5140
-6.8494 3.9545 8.5140
0.0000 -7.9090 8.5140
Cs Rb As
6 8 1
direct
0.1718 0.6161 0.4599 Cs
0.3839 0.5401 0.8282 Cs
0.4599 0.1718 0.6161 Cs
0.5401 0.8282 0.3839 Cs
0.6161 0.4599 0.1718 Cs
0.8282 0.3839 0.5401 Cs
0.0307 0.2969 0.9080 Rb
0.0920 0.9693 0.7031 Rb
0.2472 0.2472 0.2472 Rb
0.2969 0.9080 0.0307 Rb
0.7031 0.0920 0.9693 Rb
0.7528 0.7528 0.7528 Rb
0.9080 0.0307 0.2969 Rb
0.9693 0.7031 0.0920 Rb
0.0000 0.0000 0.0000 As
```


The following is a computed XRD peak list of SmMg2In2. It was derived from a GGA-PBE-relaxed structure, using Cu Kα.
Kinematic intensities with the Lorentz-polarization factor, no thermal factor.

Largest 10 diffraction maxima, sorted by position, 2θ = 10–80°:
2θ/deg	d [Å]	I_rel
13.7	6.483	52.5
24.7	3.603	100.0
34.6	2.596	89.7
35.9	2.502	85.7
38.6	2.335	25.3
44.1	2.055	21.3
47.0	1.934	25.9
50.7	1.802	29.8
58.1	1.588	18.5
63.6	1.462	29.6

Atomic structure:
```
SmMg2In2
1.0
5.0048 0.0000 0.0000
-2.5024 4.3343 0.0000
0.0000 0.0000 6.4830
Sm Mg In
1 2 2
direct
0.0000 0.0000 0.0000 Sm
0.3333 0.6667 0.3257 Mg
0.6667 0.3333 0.6743 Mg
0.3333 0.6667 0.7902 In
0.6667 0.3333 0.2098 In
```


The following is a computed XRD peak list of Na2Dy2B2TeO10. It was derived from a GGA-PBE-relaxed structure, using Cu Kα.
Kinematic intensities with the Lorentz-polarization factor, no thermal factor.

Largest 10 diffraction maxima, sorted by position, 2θ = 10–80°:
2θ/deg	d [Å]	I_rel
14.3	6.180	100.0
16.8	5.265	38.4
27.0	3.306	40.1
27.4	3.252	26.8
29.9	2.989	64.1
30.3	2.954	39.1
31.8	2.811	39.3
34.0	2.635	21.7
48.7	1.868	17.3
49.5	1.841	18.6

Atomic structure:
```
Na2Dy2B2TeO10
1.0
6.3599 0.0000 0.0000
0.0000 10.0527 0.0000
-1.6070 0.0000 6.6116
Na Dy B Te O
4 4 4 2 20
direct
0.0876 0.1116 0.1692 Na
0.0876 0.3884 0.6692 Na
0.9124 0.6116 0.3308 Na
0.9124 0.8884 0.8308 Na
0.3737 0.6664 0.9773 Dy
0.3737 0.8336 0.4773 Dy
0.6263 0.1664 0.5227 Dy
0.6263 0.3336 0.0227 Dy
0.1629 0.0991 0.6313 B
0.1629 0.4009 0.1313 B
0.8371 0.5991 0.8687 B
0.8371 0.9009 0.3687 B
0.5000 0.0000 0.0000 Te
0.5000 0.5000 0.5000 Te
0.0186 0.6722 0.9387 O
0.0186 0.8278 0.4387 O
0.2075 0.0597 0.8386 O
0.2075 0.4403 0.3386 O
0.3002 0.0613 0.5119 O
0.3002 0.4387 0.0119 O
0.3408 0.6174 0.6366 O
0.3408 0.8826 0.1366 O
0.4924 0.1499 0.1777 O
0.4924 0.3501 0.6777 O
0.5076 0.6499 0.3223 O
0.5076 0.8501 0.8223 O
0.6592 0.1174 0.8634 O
0.6592 0.3826 0.3634 O
0.6998 0.5613 0.9881 O
0.6998 0.9387 0.4881 O
0.7925 0.5597 0.6614 O
0.7925 0.9403 0.1614 O
0.9814 0.1722 0.5613 O
0.9814 0.3278 0.0613 O
```


The following is a computed XRD peak list of Ba3IrI3. It was derived from a GGA-PBE-relaxed structure, using Cu Kα.
Kinematic intensities with the Lorentz-polarization factor, no thermal factor.

Largest 10 diffraction maxima, sorted by position, 2θ = 10–80°:
2θ/deg	d [Å]	I_rel
11.1	7.975	32.1
12.1	7.308	48.8
19.4	4.571	56.3
24.0	3.705	100.0
27.9	3.203	35.6
28.8	3.101	68.1
30.5	2.927	29.2
32.9	2.720	33.7
36.6	2.457	30.1
42.2	2.141	30.6

Atomic structure:
```
Ba3IrI3
1.0
4.9296 -7.9750 0.0000
4.9296 7.9750 0.0000
-4.1520 0.0000 8.6219
Ba Ir I
6 2 6
direct
0.0779 0.0779 0.2462 Ba
0.1960 0.4703 0.7272 Ba
0.4703 0.1960 0.7272 Ba
0.5297 0.8040 0.2728 Ba
0.8040 0.5297 0.2728 Ba
0.9221 0.9221 0.7538 Ba
0.1450 0.1450 0.5676 Ir
0.8550 0.8550 0.4324 Ir
0.1871 0.8129 0.0000 I
0.2717 0.7283 0.5000 I
0.3358 0.3358 0.0652 I
0.6642 0.6642 0.9348 I
0.7283 0.2717 0.5000 I
0.8129 0.1871 0.0000 I
```


The following is a computed XRD peak list of NaIO2. It was derived from a GGA-PBE-relaxed structure, using Cu Kα.
Kinematic intensities with the Lorentz-polarization factor, no thermal factor.

Largest 10 diffraction maxima, sorted by position, 2θ = 10–80°:
2θ/deg	d [Å]	I_rel
19.7	4.511	91.7
20.1	4.415	100.0
23.3	3.819	29.0
30.7	2.915	56.1
31.0	2.888	76.3
34.7	2.585	31.8
35.5	2.531	26.8
42.2	2.141	25.1
46.8	1.942	28.2
47.6	1.911	38.5

Atomic structure:
```
NaIO2
1.0
7.6386 0.0000 0.0000
0.0000 9.0216 0.0000
0.0000 0.0000 5.0623
Na I O
4 4 8
direct
0.0029 0.1202 0.0000 Na
0.4971 0.6202 0.5000 Na
0.5029 0.3798 0.0000 Na
0.9971 0.8798 0.5000 Na
0.2468 0.7492 0.0143 I
0.2532 0.2492 0.5143 I
0.7468 0.7508 0.0143 I
0.7532 0.2508 0.5143 I
0.0034 0.1406 0.4961 O
0.2454 0.7475 0.3874 O
0.2546 0.2475 0.8874 O
0.4966 0.6406 0.9961 O
0.5034 0.3594 0.4961 O
0.7454 0.7525 0.3874 O
0.7546 0.2525 0.8874 O
0.9966 0.8594 0.9961 O
```


The following is a computed XRD peak list of Tb4Bi5Te. It was derived from a GGA-PBE-relaxed structure, using Cu Kα.
Kinematic intensities with the Lorentz-polarization factor, no thermal factor.

Largest 10 diffraction maxima, sorted by position, 2θ = 10–80°:
2θ/deg	d [Å]	I_rel
23.8	3.738	27.3
28.8	3.100	30.4
29.2	3.055	50.1
31.2	2.871	100.0
31.7	2.823	28.1
35.2	2.552	53.3
40.1	2.250	36.9
44.2	2.047	17.1
50.4	1.812	19.5
67.3	1.391	17.2

Atomic structure:
```
Tb4Bi5Te
1.0
9.2191 -2.2500 0.0000
9.2191 2.2500 0.0000
-2.1741 0.0000 8.0624
Tb Bi Te
4 5 1
direct
0.0472 0.0472 0.2672 Tb
0.3417 0.3417 0.0493 Tb
0.6583 0.6583 0.9507 Tb
0.9528 0.9528 0.7328 Tb
0.1352 0.1352 0.6608 Bi
0.2102 0.2102 0.2315 Bi
0.5000 0.5000 0.5000 Bi
0.7898 0.7898 0.7685 Bi
0.8648 0.8648 0.3392 Bi
0.5000 0.5000 0.0000 Te
```


The following is a computed XRD peak list of ScGe2C2. It was derived from a GGA-PBE-relaxed structure, using Cu Kα.
Kinematic intensities with the Lorentz-polarization factor, no thermal factor.

Largest 10 diffraction maxima, sorted by position, 2θ = 10–80°:
2θ/deg	d [Å]	I_rel
22.9	3.889	7.9
24.6	3.620	10.3
30.9	2.892	87.8
41.2	2.190	100.0
44.3	2.045	48.8
62.1	1.495	56.8
64.4	1.446	14.9
73.0	1.296	3.6
73.2	1.293	14.5
79.4	1.207	13.6

Atomic structure:
```
ScGe2C2
1.0
-2.0450 2.0450 3.8891
2.0450 -2.0450 3.8891
2.0450 2.0450 -3.8891
Sc Ge C
1 2 2
direct
0.0000 0.0000 0.0000 Sc
0.3356 0.3356 0.0000 Ge
0.6644 0.6644 0.0000 Ge
0.2500 0.7500 0.5000 C
0.7500 0.2500 0.5000 C
```


The following is a computed XRD peak list of KV5Te8. It was derived from a GGA-PBE-relaxed structure, using Cu Kα.
Kinematic intensities with the Lorentz-polarization factor, no thermal factor.

Largest 10 diffraction maxima, sorted by position, 2θ = 10–80°:
2θ/deg	d [Å]	I_rel
29.0	3.082	22.4
29.2	3.060	100.0
30.6	2.926	42.2
31.2	2.864	18.6
34.8	2.578	15.6
36.7	2.448	19.4
45.7	1.985	18.1
46.3	1.961	33.5
50.6	1.803	11.1
55.1	1.666	18.0

Atomic structure:
```
KV5Te8
1.0
10.1496 -1.9848 0.0000
10.1496 1.9848 0.0000
-2.4300 0.0000 9.2453
K V Te
1 5 8
direct
0.0000 0.0000 0.0000 K
0.1511 0.1511 0.4926 V
0.2025 0.2025 0.8316 V
0.4878 0.4878 0.4973 V
0.7828 0.7828 0.1508 V
0.8458 0.8458 0.5008 V
0.0650 0.0650 0.6647 Te
0.2556 0.2556 0.3406 Te
0.3299 0.3299 0.0031 Te
0.4071 0.4071 0.6825 Te
0.5809 0.5809 0.3220 Te
0.6562 0.6562 0.9844 Te
0.7379 0.7379 0.6524 Te
0.9228 0.9228 0.3135 Te
```